The following is a computed X-ray powder pattern of K2Si2Au3. It was derived from the GGA-PBE geometry in Alexandria, using CuKα.
Kinematic intensities with the Lorentz-polarization factor, no thermal factor.

The 8 most intense peaks (2θ from 10° to 90°), by angle:
hkl 0 1 1, 2θ 16.95, d = 5.232 Å, rel. 52; hkl 1 0 -2, 2θ 22.19, d = 4.007 Å, rel. 50; hkl 0 2 1, 2θ 28.19, d = 3.166 Å, rel. 31; hkl 1 2 0, 2θ 29.44, d = 3.034 Å, rel. 61; hkl 1 0 2, 2θ 29.63, d = 3.015 Å, rel. 100; hkl 2 1 0, 2θ 30.76, d = 2.906 Å, rel. 30; hkl 0 2 2, 2θ 34.28, d = 2.616 Å, rel. 49; hkl 1 1 -3, 2θ 34.60, d = 2.593 Å, rel. 32

Crystal structure
Lattice parameters (Å, degrees): 6.7382 6.8880 8.4523 90.00 107.91 90.00
Fractional coordinates of all 14 atoms:
K  0.1945  0.0875  0.4019
K  0.1945  0.4125  0.9019
K  0.8055  0.5875  0.0981
K  0.8055  0.9125  0.5981
Si  0.3613  0.5915  0.5443
Si  0.3613  0.9085  0.0443
Si  0.6387  0.0915  0.9557
Si  0.6387  0.4085  0.4557
Au  0.0000  0.0000  0.0000
Au  0.0000  0.5000  0.5000
Au  0.4323  0.6870  0.2792
Au  0.4323  0.8130  0.7792
Au  0.5677  0.1870  0.2208
Au  0.5677  0.3130  0.7208